(1)
Diffraction record for Pa2Ni2HgS6. The PXRD pattern is simulated, not measured: it uses a structure optimized by DFT (PBE) and a wavelength of 1.5418 Å.
Kinematic intensities with the Lorentz-polarization factor, no thermal factor.

Structural model:
Lattice parameters (Å, degrees): 7.0651 7.2228 7.6090 89.04 62.42 60.72
Sites, in units of the cell vectors:
Pa 0.1689 0.1664 0.4960
Pa 0.8311 0.8336 0.5040
Ni 0.4363 0.1812 0.9493
Ni 0.5637 0.8188 0.0507
Hg 0.5000 0.5000 0.5000
S 0.1651 0.4300 0.2423
S 0.1682 0.9205 0.2408
S 0.3304 0.0825 0.7591
S 0.6696 0.9175 0.2409
S 0.8318 0.0795 0.7592
S 0.8349 0.5700 0.7577

Top 10 peaks for 2θ from 5° to 70°, sorted by position:
| 2theta | Rel. int. |
| --- | --- |
| 13.64 | 87 |
| 24.68 | 52 |
| 25.21 | 42 |
| 27.85 | 54 |
| 28.75 | 100 |
| 36.57 | 37 |
| 37.63 | 42 |
| 37.95 | 22 |
| 46.05 | 23 |
| 52.15 | 22 |


(2)
Diffraction record for Ac2Sn4Pt3Rh. The PXRD pattern is simulated, not measured: it uses a structure optimized by DFT (PBE) and a wavelength of 1.5418 Å.
Kinematic intensities with the Lorentz-polarization factor, no thermal factor.

Structural model:
Lattice parameters (Å, degrees): 4.6891 4.6891 10.7764 90.00 90.00 90.00
Sites, in units of the cell vectors:
Ac 0.0000 0.5000 0.2433
Ac 0.5000 0.0000 0.7567
Sn 0.0000 0.0000 0.5000
Sn 0.0000 0.5000 0.8783
Sn 0.5000 0.0000 0.1217
Sn 0.5000 0.5000 0.5000
Pt 0.0000 0.0000 0.0000
Pt 0.0000 0.5000 0.6312
Pt 0.5000 0.0000 0.3688
Rh 0.5000 0.5000 0.0000

Top 10 peaks for 2θ from 5° to 70°, sorted by position:
| 2theta | Rel. int. |
| --- | --- |
| 26.89 | 21 |
| 31.37 | 76 |
| 31.69 | 100 |
| 38.39 | 78 |
| 43.27 | 23 |
| 46.37 | 29 |
| 50.39 | 42 |
| 55.42 | 27 |
| 61.72 | 26 |
| 65.26 | 26 |


(3)
Diffraction record for RbAl2PdBr8. The PXRD pattern is simulated, not measured: it uses a structure optimized by DFT (PBE) and a wavelength of 1.5418 Å.
Kinematic intensities with the Lorentz-polarization factor, no thermal factor.

Structural model:
Lattice parameters (Å, degrees): 6.8573 6.8573 9.9174 90.00 90.00 120.00
Sites, in units of the cell vectors:
Rb 0.0000 0.0000 0.0000
Al 0.3333 0.6667 0.7420
Al 0.6667 0.3333 0.2580
Pd 0.0000 0.0000 0.5000
Br 0.0147 0.3339 0.6714
Br 0.3192 0.9853 0.6714
Br 0.3333 0.6667 0.9769
Br 0.3339 0.3192 0.3286
Br 0.6661 0.6808 0.6714
Br 0.6667 0.3333 0.0231
Br 0.6808 0.0147 0.3286
Br 0.9853 0.6661 0.3286

Top 10 peaks for 2θ from 5° to 70°, sorted by position:
| 2theta | Rel. int. |
| --- | --- |
| 17.41 | 28 |
| 23.37 | 14 |
| 26.97 | 32 |
| 27.53 | 95 |
| 31.73 | 100 |
| 45.13 | 45 |
| 45.84 | 46 |
| 53.99 | 26 |
| 56.82 | 18 |
| 66.28 | 14 |


(4)
Diffraction record for USiSe3. The PXRD pattern is simulated, not measured: it uses a structure optimized by DFT (PBE) and a wavelength of 1.5418 Å.
Kinematic intensities with the Lorentz-polarization factor, no thermal factor.

Structural model:
Lattice parameters (Å, degrees): 7.6021 7.6021 5.4668 99.41 99.41 43.12
Sites, in units of the cell vectors:
U 0.1184 0.1184 0.2929
U 0.8816 0.8816 0.7071
Si 0.4968 0.0041 0.9992
Si 0.9959 0.5032 0.0008
Se 0.1774 0.6786 0.2283
Se 0.3065 0.3052 0.6401
Se 0.3214 0.8226 0.7717
Se 0.6780 0.1774 0.2283
Se 0.6948 0.6935 0.3599
Se 0.8226 0.3220 0.7717

Top 10 peaks for 2θ from 5° to 70°, sorted by position:
| 2theta | Rel. int. |
| --- | --- |
| 17.10 | 71 |
| 18.99 | 31 |
| 25.60 | 34 |
| 28.05 | 50 |
| 31.91 | 37 |
| 33.30 | 42 |
| 33.53 | 39 |
| 36.04 | 43 |
| 37.51 | 100 |
| 39.55 | 71 |


Number 3 is which compound? RbAl2PdBr8